Starting from a cell relaxed with GGA-PBE, the powder diffractogram of In2Se3 was computed for CuKα.
Neutral-atom scattering factors, no anomalous dispersion.

Principal peaks in the range 2θ from 5° to 70°, in order of falling intensity:
d_spacing  I/Imax  index
3.671  100  1 1 0
3.294  73  0 0 6
2.119  72  3 0 0
1.782  54  3 0 6
5.347  47  1 0 2
2.452  45  1 1 6
3.026  30  2 0 2
2.303  29  1 0 8
1.723  29  2 1 8
1.951  26  2 0 8

Cell lengths 7.341, 7.341, 19.766 Å; angles 90.00, 90.00, 120.00 degrees
Element x y z (fractional)
1 In 0.011 0.696 0.000
2 In 0.014 0.340 0.861
3 In 0.304 0.314 0.333
4 In 0.314 0.011 0.167
5 In 0.326 0.986 0.528
6 In 0.340 0.326 0.694
7 In 0.660 0.674 0.194
8 In 0.674 0.014 0.028
9 In 0.686 0.989 0.667
10 In 0.696 0.686 0.833
11 In 0.986 0.660 0.361
12 In 0.989 0.304 0.500
13 Se 0.026 0.362 0.649
14 Se 0.040 0.345 0.996
15 Se 0.068 0.721 0.855
16 Se 0.279 0.347 0.188
17 Se 0.305 0.960 0.663
18 Se 0.335 0.974 0.316
19 Se 0.345 0.305 0.830
20 Se 0.347 0.068 0.022
21 Se 0.362 0.335 0.482
22 Se 0.638 0.665 0.982
23 Se 0.653 0.932 0.522
24 Se 0.655 0.695 0.330
25 Se 0.665 0.026 0.816
26 Se 0.695 0.040 0.163
27 Se 0.721 0.653 0.688
28 Se 0.932 0.279 0.355
29 Se 0.960 0.655 0.496
30 Se 0.974 0.638 0.149